Simulated powder diffraction line list of Nd5Co2Cl3O10 for Cu Kα, from a structure optimized by DFT (PBE+U).
No peak broadening, texture or thermal motion is included.

Cell and atoms:
```
data_Nd5Co2Cl3O10
_chemical_formula_sum 'Nd10 Co4 Cl6 O20'
_space_group_name_H-M_alt 'C 1 2/m 1'
_space_group_IT_number 12
_space_group_name_Hall '-C 2y'
_cell_length_a 12.4430
_cell_length_b 5.7014
_cell_length_c 9.5805
_cell_angle_alpha 90.00
_cell_angle_beta 91.55
_cell_angle_gamma 90.00
loop_
_atom_site_label
_atom_site_fract_x
_atom_site_fract_y
_atom_site_fract_z
Nd1 0.0000 0.0000 0.0000
Nd2 0.0973 0.5000 0.2482
Nd3 0.2016 0.5000 0.8926
Co1 0.0865 0.0000 0.6797
Cl1 0.0000 0.5000 0.5000
Cl2 0.1136 0.0000 0.4013
O1 0.0569 0.2436 0.7947
O2 0.1493 0.2528 0.0715
O3 0.2247 0.0000 0.6728
```

The 10 most intense peaks (2θ from 5° to 70°), in order of rising 2θ:
d (Å), I/Imax
9.577, 73
3.537, 60
3.353, 20
3.143, 100
2.851, 39
2.732, 67
2.060, 19
1.937, 25
1.750, 24
1.697, 19